# 1
This entry pairs a crystal structure of Nd6InRh3 with its calculated XRD peak list. Radiation: Cu Kα X-rays. Structure: DFT lattice parameters and positions (PBE).

Principal peaks in the range 10 to 90 degrees two-theta, in order of falling intensity:
2θ/deg	intensity
28.9	100
29.5	95
43.8	68
31.9	52
28.7	49
30.2	45
39.3	44
26.3	44
53.7	39
34.0	38

Structure:
a b c (Å): 12.0462 4.1354 12.4060
angles (deg): 90.00 107.70 90.00
Fractional coordinates of all 20 atoms:
Nd (0.0236, 0.2500, 0.3873)
Nd (0.1121, 0.2500, 0.9510)
Nd (0.2085, 0.7500, 0.2604)
Nd (0.2929, 0.7500, 0.7620)
Nd (0.3525, 0.2500, 0.5292)
Nd (0.4252, 0.7500, 0.0883)
Nd (0.5748, 0.2500, 0.9117)
Nd (0.6475, 0.7500, 0.4708)
Nd (0.7071, 0.2500, 0.2380)
Nd (0.7915, 0.2500, 0.7396)
Nd (0.8879, 0.7500, 0.0490)
Nd (0.9764, 0.7500, 0.6127)
In (0.4503, 0.2500, 0.3065)
In (0.5497, 0.7500, 0.6935)
Rh (0.0442, 0.2500, 0.1619)
Rh (0.1776, 0.7500, 0.4989)
Rh (0.3423, 0.2500, 0.9214)
Rh (0.6577, 0.7500, 0.0786)
Rh (0.8224, 0.2500, 0.5011)
Rh (0.9558, 0.7500, 0.8381)

***

# 2
This entry pairs a crystal structure of NdInSi2Rh5 with its calculated XRD peak list. Radiation: Cu Kα X-rays. Structure: DFT lattice parameters and positions (PBE).

Principal peaks in the range 10 to 90 degrees two-theta, in order of falling intensity:
2θ/deg	intensity
35.5	100
44.0	65
26.3	52
32.0	51
47.5	48
52.0	31
27.9	28
72.2	23
40.9	22
75.4	22

Structure:
a b c (Å): 4.1150 4.1150 10.1747
angles (deg): 90.00 90.00 90.00
Fractional coordinates of all 9 atoms:
Nd (0.0000, 0.0000, 0.0000)
In (0.0000, 0.0000, 0.5000)
Si (0.5000, 0.5000, 0.2252)
Si (0.5000, 0.5000, 0.7748)
Rh (0.0000, 0.5000, 0.3279)
Rh (0.0000, 0.5000, 0.6721)
Rh (0.5000, 0.0000, 0.3279)
Rh (0.5000, 0.0000, 0.6721)
Rh (0.5000, 0.5000, 0.0000)

***

# 3
This entry pairs a crystal structure of Nd2InS5 with its calculated XRD peak list. Radiation: Cu Kα X-rays. Structure: DFT lattice parameters and positions (PBE).

Principal peaks in the range 10 to 90 degrees two-theta, in order of falling intensity:
2θ/deg	intensity
17.4	100
24.8	97
12.5	77
33.3	67
42.0	61
32.7	55
27.7	55
24.9	49
41.5	49
47.4	48

Structure:
a b c (Å): 7.5704 7.5704 12.4811
angles (deg): 90.00 90.00 137.57
Fractional coordinates of all 16 atoms:
Nd (0.1601, 0.8398, 0.5716)
Nd (0.1601, 0.8398, 0.9284)
Nd (0.8398, 0.1601, 0.0716)
Nd (0.8398, 0.1601, 0.4284)
In (0.1727, 0.8273, 0.2500)
In (0.8273, 0.1727, 0.7500)
S (0.0341, 0.9659, 0.1073)
S (0.0341, 0.9659, 0.3927)
S (0.2865, 0.7135, 0.7500)
S (0.2962, 0.7038, 0.0929)
S (0.2962, 0.7038, 0.4071)
S (0.7038, 0.2962, 0.5929)
S (0.7038, 0.2962, 0.9071)
S (0.7135, 0.2865, 0.2500)
S (0.9659, 0.0341, 0.6073)
S (0.9659, 0.0341, 0.8927)